Calculated powder XRD pattern
Compound: RbSmMo2O8
Radiation: CuKα
Structure: a GGA+U-relaxed structure
No peak broadening, texture or thermal motion is included.

Crystal structure
a b c (Å): 7.6155 7.6155 7.9304
angles (deg): 118.17 118.17 88.27
Atoms (fractional coordinates):
Rb: 0.1930 0.8070 0.7500
Rb: 0.8070 0.1930 0.2500
Sm: 0.2285 0.7715 0.2500
Sm: 0.7715 0.2285 0.7500
Mo: 0.3064 0.3095 0.7637
Mo: 0.3095 0.3064 0.2637
Mo: 0.6905 0.6936 0.7363
Mo: 0.6936 0.6905 0.2363
O: 0.0569 0.2089 0.6999
O: 0.0741 0.3841 0.1268
O: 0.2089 0.0569 0.1999
O: 0.2343 0.3915 0.5698
O: 0.3695 0.5831 0.0308
O: 0.3841 0.0741 0.6268
O: 0.3915 0.2343 0.0698
O: 0.4169 0.6305 0.4692
O: 0.5831 0.3695 0.5308
O: 0.6085 0.7657 0.9302
O: 0.6159 0.9259 0.3732
O: 0.6305 0.4169 0.9692
O: 0.7657 0.6085 0.4302
O: 0.7911 0.9431 0.8001
O: 0.9259 0.6159 0.8732
O: 0.9431 0.7911 0.3001

The 10 most intense peaks (10 to 90 degrees two-theta), in order of falling intensity:
| 2theta | Rel. int. |
| --- | --- |
| 27.4 | 100 |
| 28.2 | 81 |
| 29.9 | 41 |
| 27.2 | 26 |
| 33.8 | 26 |
| 14.0 | 20 |
| 45.8 | 19 |
| 52.5 | 18 |
| 50.5 | 13 |
| 54.7 | 12 |